# Rb2Cr2O7
Computed powder XRD pattern, CuKα. Input: a cell relaxed with GGA+U.

Top 12 peaks for 5° ≤ 2θ ≤ 70°, sorted by position:
- 2θ 22.69, d 3.919, I = 201, (0 2 0)
- 2θ 25.16, d 3.540, I = 175, (3 1 1)
- 2θ 25.41, d 3.505, I = 598, (0 2 1)
- 2θ 25.84, d 3.448, I = 444, (4 0 0)
- 2θ 26.09, d 3.415, I = 1000, (2 0 -2)
- 2θ 28.57, d 3.125, I = 451, (2 2 1)
- 2θ 36.38, d 2.470, I = 165, (5 1 -1)
- 2θ 36.56, d 2.458, I = 256, (4 2 1)
- 2θ 39.71, d 2.270, I = 107, (3 3 0)
- 2θ 41.42, d 2.180, I = 111, (3 3 -1)
- 2θ 43.58, d 2.077, I = 383, (2 2 3)
- 2θ 53.67, d 1.708, I = 170, (4 0 4)

Atomic structure:
a = 13.7905 Å, b = 7.8317 Å, c = 7.8628 Å
α = 90.00°, β = 90.00°, γ = 90.00°
Space group C2/c (No. 15)
Asymmetric unit:
Rb  0.1470  0.1471  0.1478 (multiplicity 8)
Cr  0.1001  0.3235  0.6428 (multiplicity 8)
O  0.0000  0.4211  0.7500 (multiplicity 4)
O  0.0609  0.2007  0.4882 (multiplicity 8)
O  0.1595  0.2041  0.7790 (multiplicity 8)
O  0.1711  0.4729  0.5703 (multiplicity 8)